1.
Diffraction record for Li4FeTeW2O12. The PXRD pattern is simulated, not measured: it uses a PBE+U-relaxed structure and Cu Kα (λ = 1.5418 Å).
Peak positions follow from Bragg's law for the DFT cell and can differ from measured ones.

Most intense lines, 2θ from 5° to 70°, low angle first:
hkl, 2theta, I (rel.)
0 2 2, 23.58, 100
1 1 3, 32.68, 40
0 2 -2, 34.47, 27
2 2 -2, 48.23, 18
1 5 3, 53.10, 18
2 0 -4, 55.58, 17

Structure:
Lattice parameters (Å, degrees): 5.493 9.181 9.196 68.99 86.36 86.46
Space group P1 (No. 1)
Symmetry-distinct sites (fractional):
1 Li 0.000 0.000 0.000 [1 per cell]
2 Li 0.002 0.215 0.231 [1 per cell]
3 Li 0.007 0.739 0.729 [1 per cell]
4 Li 0.013 0.485 0.504 [1 per cell]
5 Li 0.360 0.946 0.455 [1 per cell]
6 Li 0.376 0.455 0.948 [1 per cell]
7 Li 0.462 0.740 0.256 [1 per cell]
8 Li 0.480 0.243 0.749 [1 per cell]
9 Fe 0.428 0.096 0.095 [1 per cell]
10 Fe 0.429 0.592 0.599 [1 per cell]
11 Te 0.911 0.093 0.603 [1 per cell]
12 Te 0.937 0.596 0.105 [1 per cell]
13 W 0.421 0.845 0.855 [1 per cell]
14 W 0.430 0.333 0.350 [1 per cell]
15 W 0.912 0.844 0.350 [1 per cell]
16 W 0.916 0.353 0.843 [1 per cell]
17 O 0.091 0.791 0.966 [1 per cell]
18 O 0.092 0.274 0.478 [1 per cell]
19 O 0.098 0.220 0.018 [1 per cell]
20 O 0.103 0.724 0.525 [1 per cell]
21 O 0.201 0.957 0.659 [1 per cell]
22 O 0.206 0.914 0.223 [1 per cell]
23 O 0.215 0.407 0.717 [1 per cell]
24 O 0.244 0.459 0.158 [1 per cell]
25 O 0.375 0.158 0.288 [1 per cell]
26 O 0.396 0.031 0.899 [1 per cell]
27 O 0.400 0.512 0.409 [1 per cell]
28 O 0.403 0.670 0.783 [1 per cell]
29 O 0.565 0.733 0.039 [1 per cell]
30 O 0.591 0.204 0.547 [1 per cell]
31 O 0.602 0.777 0.458 [1 per cell]
32 O 0.609 0.282 0.959 [1 per cell]
33 O 0.721 0.904 0.720 [1 per cell]
34 O 0.726 0.456 0.661 [1 per cell]
35 O 0.728 0.365 0.246 [1 per cell]
36 O 0.728 0.963 0.169 [1 per cell]
37 O 0.898 0.149 0.785 [1 per cell]
38 O 0.905 0.030 0.418 [1 per cell]
39 O 0.923 0.653 0.297 [1 per cell]
40 O 0.928 0.534 0.892 [1 per cell]



2.
Diffraction record for MgTi4Cr2O10. The PXRD pattern is simulated, not measured: it uses a PBE+U-relaxed structure and Cu Kα (λ = 1.5418 Å).
Peak positions follow from Bragg's law for the DFT cell and can differ from measured ones.

Most intense lines, 2θ from 5° to 70°, low angle first:
hkl, 2theta, I (rel.)
0 1 0, 17.56, 60
0 1 2, 25.93, 91
1 0 -2, 29.90, 57
1 2 0, 32.17, 100
1 0 2, 34.15, 63
2 3 2, 51.44, 56

Structure:
Lattice parameters (Å, degrees): 5.227 5.886 7.339 72.14 89.40 65.48
Space group P-1 (No. 2)
Symmetry-distinct sites (fractional):
1 Mg 0.000 0.000 0.000 [1 per cell]
2 Ti 0.378 0.749 0.778 [2 per cell]
3 Ti 0.408 0.747 0.304 [2 per cell]
4 Cr 0.000 0.500 0.000 [1 per cell]
5 Cr 0.000 0.500 0.500 [1 per cell]
6 O 0.021 0.062 0.712 [2 per cell]
7 O 0.206 0.497 0.747 [2 per cell]
8 O 0.285 0.642 0.063 [2 per cell]
9 O 0.401 0.076 0.174 [2 per cell]
10 O 0.415 0.347 0.438 [2 per cell]



3.
Diffraction record for MgCd2Co2O6. The PXRD pattern is simulated, not measured: it uses a PBE+U-relaxed structure and Cu Kα (λ = 1.5418 Å).
Peak positions follow from Bragg's law for the DFT cell and can differ from measured ones.

Most intense lines, 2θ from 5° to 70°, low angle first:
hkl, 2theta, I (rel.)
0 1 2, 22.94, 51
1 0 4, 29.74, 30
0 0 6, 32.64, 27
1 1 0, 35.37, 80
2 -1 6, 48.89, 100
3 0 0, 63.50, 25

Structure:
Lattice parameters (Å, degrees): 5.0753 5.0753 16.4597 90.00 90.00 120.00
Space group R-3 (No. 148, hexagonal axes)
Symmetry-distinct sites (fractional):
1 Mg 0.0000 0.0000 0.0000 [3 per cell]
2 Cd 0.0000 0.0000 0.1670 [6 per cell]
3 Co 0.0000 0.0000 0.3390 [6 per cell]
4 O 0.0100 0.6554 0.9354 [18 per cell]



4.
Diffraction record for KV2PO11. The PXRD pattern is simulated, not measured: it uses a PBE+U-relaxed structure and Cu Kα (λ = 1.5418 Å).
Peak positions follow from Bragg's law for the DFT cell and can differ from measured ones.

Most intense lines, 2θ from 5° to 70°, low angle first:
hkl, 2theta, I (rel.)
0 1 1, 11.42, 48
1 1 0, 15.33, 100
0 1 3, 23.08, 23
1 1 3, 26.28, 28
2 1 1, 27.51, 27
1 3 1, 30.83, 29

Structure:
Lattice parameters (Å, degrees): 7.139 9.839 12.567 90.00 90.00 90.00
Space group P2_12_12_1 (No. 19)
Symmetry-distinct sites (fractional):
1 K 0.225 0.219 0.270 [4 per cell]
2 V 0.024 0.783 0.492 [4 per cell]
3 V 0.209 0.446 0.590 [4 per cell]
4 P 0.245 0.567 0.355 [4 per cell]
5 O 0.017 0.357 0.604 [4 per cell]
6 O 0.041 0.423 0.077 [4 per cell]
7 O 0.069 0.353 0.873 [4 per cell]
8 O 0.076 0.666 0.368 [4 per cell]
9 O 0.088 0.615 0.581 [4 per cell]
10 O 0.115 0.696 0.103 [4 per cell]
11 O 0.214 0.845 0.103 [4 per cell]
12 O 0.219 0.898 0.193 [4 per cell]
13 O 0.230 0.446 0.434 [4 per cell]
14 O 0.237 0.195 0.019 [4 per cell]
15 O 0.244 0.505 0.243 [4 per cell]



5.
Diffraction record for MgCrCo2O6. The PXRD pattern is simulated, not measured: it uses a PBE+U-relaxed structure and Cu Kα (λ = 1.5418 Å).
Peak positions follow from Bragg's law for the DFT cell and can differ from measured ones.

Most intense lines, 2θ from 5° to 70°, low angle first:
hkl, 2theta, I (rel.)
2 0 -1, 18.50, 100
4 0 1, 35.12, 16
1 1 1, 36.12, 23
6 0 0, 42.82, 29
1 1 -2, 43.88, 54
5 1 2, 62.61, 16

Structure:
Lattice parameters (Å, degrees): 12.967 2.894 5.886 90.00 102.26 90.00
Space group Cm (No. 8)
Symmetry-distinct sites (fractional):
1 Mg 0.000 0.000 0.000 [2 per cell]
2 Cr 0.497 0.500 0.499 [2 per cell]
3 Co 0.175 0.500 0.804 [2 per cell]
4 Co 0.316 0.000 0.176 [2 per cell]
5 O 0.001 0.500 0.742 [2 per cell]
6 O 0.153 0.000 0.592 [2 per cell]
7 O 0.168 0.000 0.030 [2 per cell]
8 O 0.334 0.500 0.971 [2 per cell]
9 O 0.338 0.500 0.389 [2 per cell]
10 O 0.492 0.000 0.255 [2 per cell]



6.
Diffraction record for Cr2PIO4. The PXRD pattern is simulated, not measured: it uses a PBE+U-relaxed structure and Cu Kα (λ = 1.5418 Å).
Peak positions follow from Bragg's law for the DFT cell and can differ from measured ones.

Most intense lines, 2θ from 5° to 70°, low angle first:
hkl, 2theta, I (rel.)
1 1 -3, 26.46, 44
0 2 0, 27.74, 46
2 0 0, 28.30, 100
0 0 4, 28.84, 66
1 2 0, 31.23, 90
1 1 3, 32.00, 42

Structure:
Lattice parameters (Å, degrees): 6.528 6.431 12.821 90.00 105.00 90.00
Space group P2_1/c (No. 14)
Symmetry-distinct sites (fractional):
1 Cr 0.041 0.149 0.103 [4 per cell]
2 Cr 0.412 0.512 0.107 [4 per cell]
3 P 0.073 0.131 0.378 [4 per cell]
4 I 0.499 0.030 0.160 [4 per cell]
5 O 0.035 0.166 0.938 [4 per cell]
6 O 0.056 0.174 0.261 [4 per cell]
7 O 0.099 0.031 0.609 [4 per cell]
8 O 0.298 0.037 0.436 [4 per cell]